# 1
This entry pairs a crystal structure of Nd4SmTm3 with its simulated XRD peak list. Radiation: Cu Kα (λ = 1.5418 Å). Structure: a structure optimized by DFT (PBE).
Neutral-atom scattering factors, no anomalous dispersion.

The 7 most intense peaks (2θ = 5–70°), in order of rising 2θ:
2theta, d [Å], I_rel
30.4, 2.940, 100.0
35.2, 2.551, 17.0
35.3, 2.543, 33.7
50.7, 1.800, 36.2
60.2, 1.538, 14.4
60.3, 1.534, 28.6
63.3, 1.470, 12.4

```
Nd4SmTm3
1.0
10.2047 0.0000 0.0000
0.0000 7.1930 0.0000
0.0000 0.0000 7.1930
Nd Sm Tm
8 2 6
direct
0.0000 0.0000 0.0000
0.0000 0.5000 0.5000
0.2500 0.2485 0.2500
0.2500 0.7515 0.7500
0.5000 0.0000 0.5000
0.5000 0.5000 0.0000
0.7500 0.2485 0.2500
0.7500 0.7515 0.7500
0.0000 0.5000 0.0000
0.5000 0.5000 0.5000
0.0000 0.0000 0.5000
0.2500 0.2479 0.7500
0.2500 0.7521 0.2500
0.5000 0.0000 0.0000
0.7500 0.2479 0.7500
0.7500 0.7521 0.2500
```

# 2
This entry pairs a crystal structure of Mg3BeN with its simulated XRD peak list. Radiation: Cu Kα (λ = 1.5418 Å). Structure: a structure optimized by DFT (PBE).
Neutral-atom scattering factors, no anomalous dispersion.

The 8 most intense peaks (2θ = 5–70°), in order of rising 2θ:
2theta, d [Å], I_rel
21.0, 4.228, 77.4
29.9, 2.990, 1.4
36.8, 2.441, 100.0
42.8, 2.114, 90.7
48.1, 1.891, 28.2
53.1, 1.726, 1.5
62.1, 1.495, 54.6
66.3, 1.409, 11.3

```
Mg3BeN
1.0
4.2281 0.0000 0.0000
0.0000 4.2281 0.0000
0.0000 0.0000 4.2281
Mg Be N
3 1 1
direct
0.0000 0.0000 0.5000
0.0000 0.5000 0.0000
0.5000 0.0000 0.0000
0.5000 0.5000 0.5000
0.0000 0.0000 0.0000
```

# 3
This entry pairs a crystal structure of AlInSe3 with its simulated XRD peak list. Radiation: Cu Kα (λ = 1.5418 Å). Structure: a structure optimized by DFT (PBE).
Neutral-atom scattering factors, no anomalous dispersion.

The 10 most intense peaks (2θ = 5–70°), in order of rising 2θ:
2theta, d [Å], I_rel
8.1, 10.937, 58.1
15.8, 5.609, 33.9
16.2, 5.469, 33.4
21.2, 4.193, 34.9
26.7, 3.344, 26.9
28.0, 3.184, 28.6
29.1, 3.070, 100.0
36.9, 2.433, 43.0
37.8, 2.381, 42.5
43.7, 2.071, 46.5

```
AlInSe3
1.0
1.9783 -10.9374 0.0000
1.9783 10.9374 0.0000
0.0000 0.0000 6.5328
Al In Se
2 2 6
direct
0.1252 0.8748 0.5000
0.8748 0.1252 0.0000
0.3314 0.6686 0.4351
0.6686 0.3314 0.9351
0.1099 0.8901 0.1375
0.2227 0.7773 0.6832
0.4261 0.5739 0.1395
0.5739 0.4261 0.6395
0.7773 0.2227 0.1832
0.8901 0.1099 0.6375
```